This entry pairs a crystal structure of Li2Mg with its computed powder XRD pattern. Radiation: Cu Kα. Structure: a cell relaxed with GGA-PBE.

Most intense lines, 10 to 80 degrees two-theta, by angle:
hkl 0 0 2, d 7.355, rel. 24
hkl 1 0 0, d 2.740, rel. 25
hkl 1 0 1, d 2.694, rel. 24
hkl 1 0 2, d 2.568, rel. 36
hkl 0 0 6, d 2.452, rel. 24
hkl 0 1 3, d 2.392, rel. 100
hkl 0 1 4, d 2.197, rel. 18
hkl 1 1 0, d 1.582, rel. 18
hkl 0 1 9, d 1.404, rel. 17
hkl 1 1 6, d 1.329, rel. 19

Atomic structure:
```
Li2Mg
1.0
3.1643 0.0000 0.0000
-1.5821 2.7403 0.0000
0.0000 0.0000 14.7098
Li Mg
4 2
direct
0.3333 0.6667 0.2462
0.3333 0.6667 0.9164
0.6667 0.3333 0.0836
0.6667 0.3333 0.7538
0.3333 0.6667 0.5875
0.6667 0.3333 0.4125
```